(1)
For TbDy9Er2, a structure optimized by DFT (GGA-PBE) gives the calculated powder XRD pattern in this record (a wavelength of 1.5418 Å).
Neutral-atom scattering factors, no anomalous dispersion.

Most intense lines, 2θ = 10–90°, low angle first:
2θ/deg  intensity  hkl
30.3  27  1 1 1
31.7  52  2 0 1
32.1  100  2 2 0
35.7  18  2 1 1
57.0  18  4 2 1
63.0  30  2 2 2

Structural model:
Cell lengths 11.1570, 11.1570, 3.4772 Å; angles 90.00, 90.00, 120.00 degrees
Space group P6/mmm (No. 191)
Unique sites:
Tb: 0.0000 0.0000 0.0000
Dy: 0.0000 0.5000 0.0000
Dy: 0.1766 0.3532 0.5000
Er: 0.3333 0.6667 0.0000


(2)
For In4PbS6, a structure optimized by DFT (GGA-PBE) gives the calculated powder XRD pattern in this record (a wavelength of 1.5418 Å).
Neutral-atom scattering factors, no anomalous dispersion.

Most intense lines, 2θ = 10–90°, low angle first:
2θ/deg  intensity  hkl
16.8  71  1 1 -1
23.4  87  3 1 -1
25.5  53  0 2 1
25.7  100  2 2 0
26.6  57  2 0 1
29.5  51  1 1 -2

Structural model:
Cell lengths 12.9304, 8.7317, 6.6505 Å; angles 90.00, 118.48, 90.00 degrees
Space group C2 (No. 5)
Unique sites:
In: 0.0546 0.0000 0.3026
In: 0.1789 0.3241 0.0243
Pb: 0.0000 0.5586 0.5000
S: 0.0000 0.2009 0.5000
S: 0.0000 0.4595 0.0000
S: 0.1513 0.0156 0.0501
S: 0.1619 0.7782 0.5409


(3)
For Ga6Ru, a structure optimized by DFT (GGA-PBE) gives the calculated powder XRD pattern in this record (a wavelength of 1.5418 Å).
Neutral-atom scattering factors, no anomalous dispersion.

Most intense lines, 2θ = 10–90°, low angle first:
2θ/deg  intensity  hkl
39.4  47  0 2 3
39.9  69  3 1 1
41.0  97  2 2 2
42.1  57  1 3 0
42.7  57  1 1 4
43.4  100  3 1 2

Structural model:
Cell lengths 7.4371, 6.7266, 9.3619 Å; angles 90.00, 90.00, 90.00 degrees
Space group Cmcm (No. 63)
Unique sites:
Ga: 0.0000 0.1369 0.1030
Ga: 0.1804 0.2055 0.7500
Ga: 0.1828 0.5000 0.0000
Ru: 0.0000 0.4657 0.2500


(4)
For FeCoH, a structure optimized by DFT (GGA-PBE) gives the calculated powder XRD pattern in this record (a wavelength of 1.5418 Å).
Neutral-atom scattering factors, no anomalous dispersion.

Most intense lines, 2θ = 10–90°, low angle first:
2θ/deg  intensity  hkl
43.8  100  1 1 2
50.9  32  2 0 0
51.3  16  0 0 4
74.9  9  2 2 0
75.2  18  2 0 4

Structural model:
Cell lengths 3.5849, 3.5849, 7.1284 Å; angles 90.00, 90.00, 90.00 degrees
Space group I4_1md (No. 109)
Unique sites:
Fe: 0.0000 0.0000 0.0000
Co: 0.0000 0.0000 0.4959
H: 0.0000 0.0000 0.7482


(5)
For Pm3Dy4Hg8, a structure optimized by DFT (GGA-PBE) gives the calculated powder XRD pattern in this record (a wavelength of 1.5418 Å).
Neutral-atom scattering factors, no anomalous dispersion.

Most intense lines, 2θ = 10–90°, low angle first:
2θ/deg  intensity  hkl
23.9  4  2 0 0
34.1  100  2 2 0
49.0  18  4 0 0
61.1  36  4 2 2
71.8  11  4 4 0
82.0  15  6 2 0

Structural model:
Cell lengths 7.4347, 7.4347, 7.4347 Å; angles 90.00, 90.00, 90.00 degrees
Space group Pm-3m (No. 221)
Unique sites:
Pm: 0.0000 0.0000 0.5000
Dy: 0.0000 0.0000 0.0000
Dy: 0.0000 0.5000 0.5000
Hg: 0.2615 0.2615 0.2615


(6)
For Zn2Co, a structure optimized by DFT (GGA-PBE) gives the calculated powder XRD pattern in this record (a wavelength of 1.5418 Å).
Neutral-atom scattering factors, no anomalous dispersion.

Most intense lines, 2θ = 10–90°, low angle first:
2θ/deg  intensity  hkl
39.2  27  1 3 0
42.3  41  0 0 2
44.5  51  0 6 1
44.7  100  1 3 1
59.0  15  1 3 2
79.1  17  1 3 3

Structural model:
Cell lengths 2.6507, 13.9003, 4.2709 Å; angles 90.00, 90.00, 90.00 degrees
Space group Cmcm (No. 63)
Unique sites:
Zn: 0.0000 0.0629 0.2500
Zn: 0.0000 0.3775 0.2500
Co: 0.0000 0.2768 0.7500


- Number 1 is which compound?
  TbDy9Er2